Entry 1:
Diffraction record for Cr3B7IO13. The XRD peak list is theoretical, not measured: it uses a crystal structure in the Materials Project, relaxed with PBE+U and copper Kα.

Crystal structure
a = 12.341 Å, b = 12.341 Å, c = 12.341 Å
α = 90.00°, β = 90.00°, γ = 90.00°
Space group F-43c (No. 219)
Unique sites:
Cr (0.000, 0.000, 0.250) x24
B (0.000, 0.250, 0.250) x24
B (0.170, 0.170, 0.330) x32
I (0.000, 0.000, 0.000) x8
O (0.070, 0.155, 0.270) x96
O (0.250, 0.250, 0.250) x8

Principal peaks in the range 2θ = 10–90°, in order of rising 2θ:
| 2θ (°) | d (Å) | I/Imax | (hkl) |
| --- | --- | --- | --- |
| 14.35 | 6.171 | 30 | 2 0 0 |
| 28.94 | 3.085 | 96 | 4 0 0 |
| 32.44 | 2.760 | 100 | 4 2 0 |
| 41.39 | 2.182 | 60 | 4 4 0 |
| 62.01 | 1.497 | 31 | 8 2 0 |
| 67.94 | 1.380 | 29 | 8 4 0 |


Entry 2:
Diffraction record for CaMoO. The XRD peak list is theoretical, not measured: it uses a crystal structure in the Materials Project, relaxed with PBE+U and copper Kα.

Crystal structure
a = 3.368 Å, b = 5.587 Å, c = 11.363 Å
α = 90.44°, β = 90.03°, γ = 90.00°
Space group P1 (No. 1)
Unique sites:
Ca (0.000, 0.000, 0.000) x1
Ca (0.001, 0.502, 0.187) x1
Ca (0.507, 0.534, 0.503) x1
Ca (0.509, 0.038, 0.691) x1
Mo (0.005, 0.031, 0.446) x1
Mo (0.005, 0.536, 0.746) x1
Mo (0.502, 0.004, 0.245) x1
Mo (0.503, 0.501, 0.944) x1
O (0.009, 0.284, 0.596) x1
O (0.011, 0.786, 0.597) x1
O (0.501, 0.251, 0.093) x1
O (0.501, 0.753, 0.094) x1

Principal peaks in the range 2θ = 10–90°, in order of rising 2θ:
| 2θ (°) | d (Å) | I/Imax | (hkl) |
| --- | --- | --- | --- |
| 17.64 | 5.029 | 47 | 0 1 -1 |
| 17.74 | 4.999 | 48 | 0 1 1 |
| 31.49 | 2.841 | 32 | 0 0 4 |
| 32.04 | 2.794 | 54 | 0 2 0 |
| 34.83 | 2.576 | 100 | 1 -1 2 |
| 34.94 | 2.568 | 98 | -1 1 2 |


Entry 3:
Diffraction record for Ba3MnF12. The XRD peak list is theoretical, not measured: it uses a crystal structure in the Materials Project, relaxed with PBE+U and copper Kα.

Crystal structure
a = 8.545 Å, b = 15.298 Å, c = 6.723 Å
α = 90.00°, β = 119.34°, γ = 90.00°
Space group C2/m (No. 12)
Unique sites:
Ba (0.000, 0.000, 0.000) x2
Ba (0.250, 0.250, 0.500) x4
Mn (0.000, 0.500, 0.500) x2
F (0.034, 0.112, 0.307) x8
F (0.099, 0.240, 0.765) x8
F (0.151, 0.416, 0.689) x8

Principal peaks in the range 2θ = 10–90°, in order of rising 2θ:
| 2θ (°) | d (Å) | I/Imax | (hkl) |
| --- | --- | --- | --- |
| 15.09 | 5.871 | 100 | 1 1 -1 |
| 19.08 | 4.652 | 60 | 0 2 1 |
| 23.26 | 3.825 | 33 | 0 4 0 |
| 26.62 | 3.349 | 51 | 2 2 0 |
| 30.43 | 2.937 | 59 | 2 2 -2 |
| 38.71 | 2.326 | 22 | 0 4 2 |


Entry 4:
Diffraction record for Ba2NbCoO6. The XRD peak list is theoretical, not measured: it uses a crystal structure in the Materials Project, relaxed with PBE+U and copper Kα.

Crystal structure
a = 8.056 Å, b = 8.056 Å, c = 8.056 Å
α = 90.00°, β = 90.00°, γ = 90.00°
Space group Fm-3m (No. 225)
Unique sites:
Ba (0.250, 0.250, 0.250) x8
Nb (0.000, 0.000, 0.000) x4
Co (0.000, 0.000, 0.500) x4
O (0.000, 0.000, 0.252) x24

Principal peaks in the range 2θ = 10–90°, in order of rising 2θ:
| 2θ (°) | d (Å) | I/Imax | (hkl) |
| --- | --- | --- | --- |
| 31.41 | 2.848 | 100 | 2 2 0 |
| 38.72 | 2.326 | 10 | 2 2 2 |
| 45.01 | 2.014 | 32 | 4 0 0 |
| 55.91 | 1.644 | 39 | 4 2 2 |
| 65.55 | 1.424 | 19 | 4 4 0 |
| 74.49 | 1.274 | 17 | 6 2 0 |


Entry 5:
Diffraction record for ZnFe2O4. The XRD peak list is theoretical, not measured: it uses a crystal structure in the Materials Project, relaxed with PBE+U and copper Kα.

Crystal structure
a = 15.211 Å, b = 2.946 Å, c = 9.262 Å
α = 90.00°, β = 125.12°, γ = 90.00°
Space group C2/m (No. 12)
Unique sites:
Zn (0.189, 0.000, 0.167) x4
Fe (0.104, 0.000, 0.796) x4
Fe (0.148, 0.500, 0.479) x4
O (0.050, 0.000, 0.348) x4
O (0.141, 0.500, 0.980) x4
O (0.142, 0.500, 0.697) x4
O (0.225, 0.500, 0.358) x4

Principal peaks in the range 2θ = 10–90°, in order of rising 2θ:
| 2θ (°) | d (Å) | I/Imax | (hkl) |
| --- | --- | --- | --- |
| 14.24 | 6.220 | 88 | 2 0 0 |
| 24.44 | 3.642 | 53 | 4 0 -2 |
| 28.70 | 3.110 | 52 | 4 0 0 |
| 35.23 | 2.547 | 100 | 3 1 -1 |
| 41.97 | 2.153 | 65 | 1 1 2 |
| 50.45 | 1.809 | 54 | 3 1 -4 |